# SrCrB12
Computed powder XRD pattern, CuKα. Input: a DFT-relaxed cell (PBE, Alexandria).

Largest 10 diffraction maxima, most intense first, 10 to 90 degrees two-theta:
2theta	I_rel
30.4	100
37.5	45
49.0	44
21.4	29
67.6	29
54.0	16
43.5	16
71.8	14
87.9	9
43.6	8

Structural model:
```
data_SrCrB12
_chemical_formula_sum 'Sr1 Cr1 B12'
_space_group_name_H-M_alt 'P 4/m m m'
_space_group_IT_number 123
_space_group_name_Hall '-P 4 2'
_cell_length_a 4.1593
_cell_length_b 4.1593
_cell_length_c 8.3003
_cell_angle_alpha 90.00
_cell_angle_beta 90.00
_cell_angle_gamma 90.00
loop_
_atom_site_label
_atom_site_type_symbol
_atom_site_fract_x
_atom_site_fract_y
_atom_site_fract_z
_atom_site_occupancy
Sr1 Sr 0.0000 0.0000 0.0000 1
Cr1 Cr 0.0000 0.0000 0.5000 1
B1 B 0.2006 0.5000 0.2532 1
B2 B 0.5000 0.5000 0.1019 1
B3 B 0.5000 0.5000 0.4013 1
```


# U2PaGa
Computed powder XRD pattern, CuKα. Input: a DFT-relaxed cell (PBE, Alexandria).

Largest 10 diffraction maxima, most intense first, 10 to 90 degrees two-theta:
2theta	I_rel
35.6	100
42.1	32
72.7	26
59.2	24
39.6	19
69.3	15
75.3	12
61.0	11
20.7	8
28.6	7

Structural model:
```
data_U2PaGa
_chemical_formula_sum 'U2 Pa1 Ga1'
_space_group_name_H-M_alt 'P 4/m m m'
_space_group_IT_number 123
_space_group_name_Hall '-P 4 2'
_cell_length_a 4.2945
_cell_length_b 4.2945
_cell_length_c 4.5465
_cell_angle_alpha 90.00
_cell_angle_beta 90.00
_cell_angle_gamma 90.00
loop_
_atom_site_label
_atom_site_type_symbol
_atom_site_fract_x
_atom_site_fract_y
_atom_site_fract_z
_atom_site_occupancy
U1 U 0.0000 0.5000 0.0000 1
Pa1 Pa 0.0000 0.0000 0.5000 1
Ga1 Ga 0.5000 0.5000 0.5000 1
```


# Ac5LaPr6
Computed powder XRD pattern, CuKα. Input: a DFT-relaxed cell (PBE, Alexandria).

Largest 10 diffraction maxima, most intense first, 10 to 90 degrees two-theta:
2theta	I_rel
28.5	100
32.7	18
32.9	17
33.6	16
55.9	16
56.1	15
57.0	15
59.1	13
47.1	13
47.6	12

Structural model:
```
data_Ac5LaPr6
_chemical_formula_sum 'Ac10 La2 Pr12'
_space_group_name_H-M_alt 'I m m m'
_space_group_IT_number 71
_space_group_name_Hall '-I 2 2'
_cell_length_a 5.4737
_cell_length_b 10.6743
_cell_length_c 16.3390
_cell_angle_alpha 90.00
_cell_angle_beta 90.00
_cell_angle_gamma 90.00
loop_
_atom_site_label
_atom_site_type_symbol
_atom_site_fract_x
_atom_site_fract_y
_atom_site_fract_z
_atom_site_occupancy
Ac1 Ac 0.0000 0.0000 0.0000 1
Ac2 Ac 0.0000 0.0000 0.3354 1
Ac3 Ac 0.0000 0.5000 0.3333 1
La1 La 0.0000 0.5000 0.0000 1
Pr1 Pr 0.0000 0.2473 0.5000 1
Pr2 Pr 0.0000 0.2516 0.1657 1
```


# Rb2Zn2Pt
Computed powder XRD pattern, CuKα. Input: a DFT-relaxed cell (PBE, Alexandria).

Largest 10 diffraction maxima, most intense first, 10 to 90 degrees two-theta:
2theta	I_rel
23.2	100
32.0	91
29.9	78
51.0	53
40.3	52
29.4	42
35.9	41
14.8	40
17.7	40
47.4	37

Structural model:
```
data_Rb2Zn2Pt
_chemical_formula_sum 'Rb4 Zn4 Pt2'
_space_group_name_H-M_alt 'P 4/m b m'
_space_group_IT_number 127
_space_group_name_Hall '-P 4 2ab'
_cell_length_a 7.0732
_cell_length_b 7.0732
_cell_length_c 5.9678
_cell_angle_alpha 90.00
_cell_angle_beta 90.00
_cell_angle_gamma 90.00
loop_
_atom_site_label
_atom_site_type_symbol
_atom_site_fract_x
_atom_site_fract_y
_atom_site_fract_z
_atom_site_occupancy
Rb1 Rb 0.1744 0.3256 0.0000 1
Zn1 Zn 0.1943 0.6943 0.5000 1
Pt1 Pt 0.0000 0.0000 0.5000 1
```


# Y2Mg3Al2
Computed powder XRD pattern, CuKα. Input: a DFT-relaxed cell (PBE, Alexandria).

Largest 10 diffraction maxima, most intense first, 10 to 90 degrees two-theta:
2theta	I_rel
32.8	100
36.1	88
35.0	84
35.5	80
23.4	65
55.1	50
40.2	43
25.0	32
65.1	26
66.1	23

Structural model:
```
data_Y2Mg3Al2
_chemical_formula_sum 'Y4 Mg6 Al4'
_space_group_name_H-M_alt 'C m m m'
_space_group_IT_number 65
_space_group_name_Hall '-C 2 2'
_cell_length_a 4.4893
_cell_length_b 21.4124
_cell_length_c 3.4784
_cell_angle_alpha 90.00
_cell_angle_beta 90.00
_cell_angle_gamma 90.00
loop_
_atom_site_label
_atom_site_type_symbol
_atom_site_fract_x
_atom_site_fract_y
_atom_site_fract_z
_atom_site_occupancy
Y1 Y 0.0000 0.1620 0.0000 1
Mg1 Mg 0.0000 0.0000 0.0000 1
Mg2 Mg 0.0000 0.4256 0.5000 1
Al1 Al 0.0000 0.2838 0.5000 1
```